1.
Diffraction record for KW3Cl9. The powder X-ray diffraction pattern is theoretical, not measured: it uses a DFT-relaxed cell (GGA-PBE, Alexandria) and Cu Kα (λ = 1.5418 Å).
Peak positions follow from Bragg's law for the DFT cell and can differ from measured ones.

```
data_KW3Cl9
_chemical_formula_sum 'K2 W6 Cl18'
_symmetry_space_group_name_H-M 'P -3 1 m'
_symmetry_Int_Tables_number 162
_symmetry_space_group_name_Hall '-P 3 2'
_cell_length_a 9.5554
_cell_length_b 9.5554
_cell_length_c 8.5506
_cell_angle_alpha 90.00
_cell_angle_beta 90.00
_cell_angle_gamma 120.00
loop_
_atom_site_label
_atom_site_fract_x
_atom_site_fract_y
_atom_site_fract_z
_atom_site_occupancy
K1 0.3333 0.6667 0.0000 1
W1 0.0000 0.1797 0.3738 1
Cl1 0.0000 0.2009 0.8132 1
Cl2 0.0000 0.3896 0.1966 1
Cl3 0.2090 0.4180 0.5000 1
```

Peak list (10 most intense, 2θ from 10° to 90°, by angle)
two_theta	I_rel	index
10.35	41.9	0 0 1
10.69	100.0	1 0 0
14.90	42.4	1 0 1
21.30	10.6	2 -1 1
28.54	8.9	2 1 0
35.56	38.6	2 1 2
39.20	9.7	4 -2 1
42.93	14.4	2 1 3
43.39	18.1	2 2 2
44.82	9.0	4 -1 2



2.
Diffraction record for K3WCl6. The powder X-ray diffraction pattern is theoretical, not measured: it uses a DFT-relaxed cell (GGA-PBE, Alexandria) and Cu Kα (λ = 1.5418 Å).
Peak positions follow from Bragg's law for the DFT cell and can differ from measured ones.

```
data_K3WCl6
_chemical_formula_sum 'K18 W6 Cl36'
_symmetry_space_group_name_H-M 'R -3'
_symmetry_Int_Tables_number 148
_symmetry_space_group_name_Hall '-R 3'
_cell_length_a 12.3910
_cell_length_b 12.3910
_cell_length_c 14.6797
_cell_angle_alpha 90.00
_cell_angle_beta 90.00
_cell_angle_gamma 120.00
loop_
_atom_site_label
_atom_site_fract_x
_atom_site_fract_y
_atom_site_fract_z
_atom_site_occupancy
K1 0.0473 0.2714 0.2017 1
W1 0.0000 0.0000 0.0000 1
W2 0.0000 0.0000 0.5000 1
Cl1 0.0199 0.1735 0.4047 1
Cl2 0.0307 0.1765 0.9035 1
```

Peak list (10 most intense, 2θ from 10° to 90°, by angle)
two_theta	I_rel	index
14.30	83.8	1 1 0
14.62	100.0	0 1 2
20.50	56.2	2 0 2
25.08	42.5	1 2 2
32.46	39.7	3 1 2
32.91	59.5	2 1 4
38.44	27.8	1 4 0
38.96	23.9	1 3 4
44.88	19.1	0 3 6
47.35	18.4	4 -2 6



3.
Diffraction record for KY2Cl. The powder X-ray diffraction pattern is theoretical, not measured: it uses a DFT-relaxed cell (GGA-PBE, Alexandria) and Cu Kα (λ = 1.5418 Å).
Peak positions follow from Bragg's law for the DFT cell and can differ from measured ones.

```
data_KY2Cl
_chemical_formula_sum 'K2 Y4 Cl2'
_symmetry_space_group_name_H-M 'I m m m'
_symmetry_Int_Tables_number 71
_symmetry_space_group_name_Hall '-I 2 2'
_cell_length_a 3.4531
_cell_length_b 5.4366
_cell_length_c 13.6253
_cell_angle_alpha 90.00
_cell_angle_beta 90.00
_cell_angle_gamma 90.00
loop_
_atom_site_label
_atom_site_fract_x
_atom_site_fract_y
_atom_site_fract_z
_atom_site_occupancy
K1 0.0000 0.0000 0.0000 1
Y1 0.0000 0.5000 0.1969 1
Cl1 0.0000 0.0000 0.5000 1
```

Peak list (10 most intense, 2θ from 10° to 90°, by angle)
two_theta	I_rel	index
12.99	19.6	0 0 2
25.56	52.6	0 1 3
32.57	24.4	1 0 3
32.95	36.1	0 2 0
33.44	100.0	1 1 2
36.90	24.3	0 1 5
42.25	18.4	1 0 5
47.01	17.0	1 2 3
54.57	23.2	1 2 5
59.15	17.4	1 3 2



4.
Diffraction record for K3ZnCl6. The powder X-ray diffraction pattern is theoretical, not measured: it uses a DFT-relaxed cell (GGA-PBE, Alexandria) and Cu Kα (λ = 1.5418 Å).
Peak positions follow from Bragg's law for the DFT cell and can differ from measured ones.

```
data_K3ZnCl6
_chemical_formula_sum 'K12 Zn4 Cl24'
_symmetry_space_group_name_H-M 'C m c 21'
_symmetry_Int_Tables_number 36
_cell_length_a 13.3565
_cell_length_b 17.1919
_cell_length_c 5.7768
_cell_angle_alpha 90.00
_cell_angle_beta 90.00
_cell_angle_gamma 90.00
loop_
_symmetry_equiv_pos_as_xyz
'x,y,z'
'-x,-y,z+1/2'
'-x,y,z'
'x,-y,z+1/2'
'x+1/2,y+1/2,z'
'-x+1/2,-y+1/2,z+1/2'
'-x+1/2,y+1/2,z'
'x+1/2,-y+1/2,z+1/2'
loop_
_atom_site_label
_atom_site_fract_x
_atom_site_fract_y
_atom_site_fract_z
_atom_site_occupancy
K1 0.0000 0.1180 0.0000 1
K2 0.1847 0.3790 0.0233 1
Zn1 0.0000 0.2941 0.5885 1
Cl1 0.0000 0.2875 0.1970 1
Cl2 0.0000 0.4221 0.6925 1
Cl3 0.1427 0.2306 0.7054 1
Cl4 0.1622 0.0020 0.2647 1
```

Peak list (10 most intense, 2θ from 10° to 90°, by angle)
two_theta	I_rel	index
10.29	20.9	0 2 0
16.82	60.9	1 3 0
17.50	24.5	1 1 1
22.84	100.0	2 2 1
30.98	22.2	0 0 2
32.69	22.5	0 2 2
32.91	53.0	3 5 0
37.50	58.8	0 4 2
40.52	23.6	6 0 0
53.07	21.2	3 7 2



5.
Diffraction record for KZn2Cl5. The powder X-ray diffraction pattern is theoretical, not measured: it uses a DFT-relaxed cell (GGA-PBE, Alexandria) and Cu Kα (λ = 1.5418 Å).
Peak positions follow from Bragg's law for the DFT cell and can differ from measured ones.

```
data_KZn2Cl5
_chemical_formula_sum 'K2 Zn4 Cl10'
_symmetry_space_group_name_H-M 'P 1 21/m 1'
_symmetry_Int_Tables_number 11
_cell_length_a 6.6769
_cell_length_b 10.5967
_cell_length_c 7.4128
_cell_angle_alpha 90.00
_cell_angle_beta 94.75
_cell_angle_gamma 90.00
loop_
_symmetry_equiv_pos_as_xyz
'x,y,z'
'-x,-y,-z'
'-x,y+1/2,-z'
'x,-y+1/2,z'
loop_
_atom_site_label
_atom_site_fract_x
_atom_site_fract_y
_atom_site_fract_z
_atom_site_occupancy
K1 0.0134 0.2500 0.0796 1
Zn1 0.4501 0.0669 0.6865 1
Cl1 0.2250 0.0202 0.8786 1
Cl2 0.3091 0.0798 0.3846 1
Cl3 0.3668 0.7500 0.2449 1
```

Peak list (10 most intense, 2θ from 10° to 90°, by angle)
two_theta	I_rel	index
13.31	100.0	1 0 0
16.73	56.2	0 2 0
17.18	33.7	1 0 -1
18.67	45.8	1 0 1
19.13	59.3	1 1 -1
21.44	44.9	1 2 0
28.59	53.7	1 0 2
28.61	46.5	1 3 0
38.44	53.5	2 3 -1
46.00	32.7	3 0 -2



6.
Diffraction record for K3Zn2Cl8. The powder X-ray diffraction pattern is theoretical, not measured: it uses a DFT-relaxed cell (GGA-PBE, Alexandria) and Cu Kα (λ = 1.5418 Å).
Peak positions follow from Bragg's law for the DFT cell and can differ from measured ones.

```
data_K3Zn2Cl8
_chemical_formula_sum 'K9 Zn6 Cl24'
_symmetry_space_group_name_H-M 'R -3 m'
_symmetry_Int_Tables_number 166
_symmetry_space_group_name_Hall '-R 3 2"'
_cell_length_a 7.0353
_cell_length_b 7.0353
_cell_length_c 26.8323
_cell_angle_alpha 90.00
_cell_angle_beta 90.00
_cell_angle_gamma 120.00
loop_
_atom_site_label
_atom_site_fract_x
_atom_site_fract_y
_atom_site_fract_z
_atom_site_occupancy
K1 0.0000 0.0000 0.0000 1
K2 0.0000 0.0000 0.2045 1
Zn1 0.0000 0.0000 0.4033 1
Cl1 0.0000 0.0000 0.3197 1
Cl2 0.0129 0.5065 0.7685 1
```

Peak list (10 most intense, 2θ from 10° to 90°, by angle)
two_theta	I_rel	index
14.91	30.2	1 0 1
19.68	35.8	1 0 4
22.07	45.5	0 1 5
25.32	100.0	1 1 0
27.24	28.1	1 1 3
30.08	49.5	2 0 2
33.83	66.9	2 0 5
36.59	52.9	1 0 10
47.77	29.3	2 0 11
51.99	49.4	2 2 0



7.
Diffraction record for KZrCl14. The powder X-ray diffraction pattern is theoretical, not measured: it uses a DFT-relaxed cell (GGA-PBE, Alexandria) and Cu Kα (λ = 1.5418 Å).
Peak positions follow from Bragg's law for the DFT cell and can differ from measured ones.

```
data_KZrCl14
_chemical_formula_sum 'K1 Zr1 Cl14'
_symmetry_space_group_name_H-M 'P 1'
_symmetry_Int_Tables_number 1
_cell_length_a 7.7787
_cell_length_b 8.6016
_cell_length_c 9.6349
_cell_angle_alpha 97.87
_cell_angle_beta 100.50
_cell_angle_gamma 111.43
loop_
_symmetry_equiv_pos_as_xyz
'x,y,z'
loop_
_atom_site_label
_atom_site_fract_x
_atom_site_fract_y
_atom_site_fract_z
_atom_site_occupancy
K1 0.0000 0.0000 0.0000 1
Zr1 0.2724 0.6181 0.8525 1
Cl1 0.0067 0.5962 0.9849 1
Cl2 0.0511 0.9167 0.3504 1
Cl3 0.0843 0.5630 0.6150 1
Cl4 0.1966 0.3100 0.8449 1
Cl5 0.3330 0.9309 0.8835 1
Cl6 0.3678 0.6751 0.1379 1
Cl7 0.4138 0.3976 0.2930 1
Cl8 0.4613 0.2253 0.4036 1
Cl9 0.5453 0.9773 0.5553 1
Cl10 0.5946 0.6755 0.8378 1
Cl11 0.6695 0.1317 0.0826 1
Cl12 0.7983 0.7180 0.3201 1
Cl13 0.8169 0.1177 0.6760 1
Cl14 0.9215 0.2804 0.2340 1
```

Peak list (10 most intense, 2θ from 10° to 90°, by angle)
two_theta	I_rel	index
13.15	95.4	1 -1 0
15.91	90.8	-1 1 1
16.69	45.1	1 -1 1
17.71	40.6	1 0 1
20.08	72.0	0 1 -2
22.67	48.2	0 2 -1
22.80	100.0	-1 1 2
24.79	50.4	2 0 -1
26.47	47.2	0 2 -2
27.77	55.6	-2 1 2



8.
Diffraction record for K2Zr7Cl18. The powder X-ray diffraction pattern is theoretical, not measured: it uses a DFT-relaxed cell (GGA-PBE, Alexandria) and Cu Kα (λ = 1.5418 Å).
Peak positions follow from Bragg's law for the DFT cell and can differ from measured ones.

```
data_K2Zr7Cl18
_chemical_formula_sum 'K6 Zr21 Cl54'
_symmetry_space_group_name_H-M 'R -3'
_symmetry_Int_Tables_number 148
_symmetry_space_group_name_Hall '-R 3'
_cell_length_a 9.7201
_cell_length_b 9.7201
_cell_length_c 26.2645
_cell_angle_alpha 90.00
_cell_angle_beta 90.00
_cell_angle_gamma 120.00
loop_
_atom_site_label
_atom_site_fract_x
_atom_site_fract_y
_atom_site_fract_z
_atom_site_occupancy
K1 0.0000 0.0000 0.2239 1
Zr1 0.0000 0.0000 0.5000 1
Zr2 0.0513 0.2105 0.0490 1
Cl1 0.0265 0.2236 0.4450 1
Cl2 0.0454 0.2476 0.6690 1
Cl3 0.0570 0.2359 0.8876 1
```

Peak list (10 most intense, 2θ from 10° to 90°, by angle)
two_theta	I_rel	index
10.10	17.5	0 0 3
11.04	33.9	1 0 1
12.49	100.0	0 1 2
20.91	24.5	1 1 3
32.91	81.0	3 -2 5
37.04	21.0	2 1 7
39.44	37.2	3 -2 8
44.75	16.8	2 1 10
49.63	36.8	1 4 0
53.75	17.8	2 1 13



9.
Diffraction record for La3Cl2. The powder X-ray diffraction pattern is theoretical, not measured: it uses a DFT-relaxed cell (GGA-PBE, Alexandria) and Cu Kα (λ = 1.5418 Å).
Peak positions follow from Bragg's law for the DFT cell and can differ from measured ones.

```
data_La3Cl2
_chemical_formula_sum 'La18 Cl12'
_symmetry_space_group_name_H-M 'R -3 c'
_symmetry_Int_Tables_number 167
_symmetry_space_group_name_Hall '-R 3 2"c'
_cell_length_a 7.2808
_cell_length_b 7.2808
_cell_length_c 19.7031
_cell_angle_alpha 90.00
_cell_angle_beta 90.00
_cell_angle_gamma 120.00
loop_
_atom_site_label
_atom_site_fract_x
_atom_site_fract_y
_atom_site_fract_z
_atom_site_occupancy
La1 0.0000 0.3387 0.2500 1
Cl1 0.0000 0.0000 0.1656 1
```

Peak list (10 most intense, 2θ from 10° to 90°, by angle)
two_theta	I_rel	index
24.45	9.3	1 1 0
27.16	16.2	0 0 6
28.02	100.0	1 1 3
36.86	29.0	1 1 6
43.04	28.2	3 0 0
48.52	22.0	1 1 9
51.63	17.1	3 0 6
52.14	17.7	2 2 3
69.84	14.5	4 1 3
73.14	11.3	3 0 12